Starting from a GGA-PBE-relaxed structure, the powder diffraction line list of CdS8Br2 was simulated for a wavelength of 1.5418 Å.
No peak broadening, texture or thermal motion is included.

Main lines, by angle (2θ = 10–90°):
| 2θ (°) | Rel. int. | (hkl) |
| --- | --- | --- |
| 11.71 | 36 | 0 0 1 |
| 14.43 | 26 | 1 0 0 |
| 17.80 | 55 | -1 1 1 |
| 18.82 | 100 | 1 -1 1 |
| 22.97 | 26 | 1 0 -2 |
| 23.50 | 26 | 0 1 -2 |
| 24.99 | 48 | -2 1 1 |
| 26.81 | 33 | -1 1 2 |
| 30.08 | 33 | 2 -1 1 |
| 35.63 | 44 | 0 0 3 |

Atomic structure:
```
data_CdS8Br2
_chemical_formula_sum 'Cd1 S8 Br2'
_cell_length_a 7.3422
_cell_length_b 7.4836
_cell_length_c 8.1564
_cell_angle_alpha 98.93
_cell_angle_beta 103.52
_cell_angle_gamma 117.01
_space_group_name_H-M_alt 'P -1'
_space_group_IT_number 2
loop_
_space_group_symop_operation_xyz
'x,y,z'
'-x,-y,-z'
loop_
_atom_site_label
_atom_site_type_symbol
_atom_site_fract_x
_atom_site_fract_y
_atom_site_fract_z
_atom_site_occupancy
Cd1 Cd 0.0000 0.0000 0.0000 1
S1 S 0.0751 0.5858 0.6432 1
S2 S 0.1034 0.8609 0.6598 1
S3 S 0.4272 0.1126 0.3526 1
S4 S 0.4780 0.0823 0.6933 1
Br1 Br 0.2191 0.3653 0.0012 1
```

Starting from a GGA-PBE-relaxed structure, the powder diffraction line list of KBi5 was simulated for a wavelength of 1.5418 Å.
No peak broadening, texture or thermal motion is included.

Main lines, by angle (2θ = 10–90°):
| 2θ (°) | Rel. int. | (hkl) |
| --- | --- | --- |
| 16.42 | 16 | 1 1 0 |
| 29.94 | 19 | 0 4 1 |
| 30.53 | 100 | 1 3 1 |
| 31.29 | 28 | 2 0 0 |
| 32.90 | 12 | 0 6 0 |
| 41.30 | 13 | 0 0 2 |
| 41.81 | 16 | 1 7 0 |
| 43.85 | 14 | 2 4 1 |
| 52.71 | 14 | 2 0 2 |
| 55.21 | 19 | 3 3 1 |

Atomic structure:
```
data_KBi5
_chemical_formula_sum 'K2 Bi10'
_cell_length_a 5.7181
_cell_length_b 16.3358
_cell_length_c 4.3718
_cell_angle_alpha 90.00
_cell_angle_beta 90.00
_cell_angle_gamma 90.00
_space_group_name_H-M_alt 'C m m m'
_space_group_IT_number 65
_space_group_name_Hall '-C 2 2'
loop_
_atom_site_label
_atom_site_type_symbol
_atom_site_fract_x
_atom_site_fract_y
_atom_site_fract_z
_atom_site_occupancy
K1 K 0.0000 0.0000 0.0000 1
Bi1 Bi 0.0000 0.1969 0.5000 1
Bi2 Bi 0.0000 0.3498 0.0000 1
Bi3 Bi 0.0000 0.5000 0.5000 1
```

Starting from a GGA-PBE-relaxed structure, the powder diffraction line list of Sr3Ce2PuN6 was simulated for a wavelength of 1.5418 Å.
No peak broadening, texture or thermal motion is included.

Main lines, by angle (2θ = 10–90°):
| 2θ (°) | Rel. int. | (hkl) |
| --- | --- | --- |
| 14.80 | 27 | 0 0 1 |
| 29.85 | 36 | 0 0 2 |
| 30.15 | 97 | 2 0 0 |
| 34.86 | 100 | 1 3 1 |
| 49.94 | 34 | 2 0 2 |
| 50.32 | 35 | 0 6 0 |
| 59.28 | 16 | 1 3 3 |
| 59.62 | 31 | 3 3 1 |
| 62.68 | 17 | 4 0 0 |
| 84.41 | 15 | 4 6 0 |

Atomic structure:
```
data_Sr3Ce2PuN6
_chemical_formula_sum 'Sr6 Ce4 Pu2 N12'
_cell_length_a 6.2807
_cell_length_b 10.8805
_cell_length_c 6.3417
_cell_angle_alpha 90.00
_cell_angle_beta 109.28
_cell_angle_gamma 90.00
_space_group_name_H-M_alt 'C 1 2/m 1'
_space_group_IT_number 12
loop_
_space_group_symop_operation_xyz
'x,y,z'
'-x,-y,-z'
'-x,y,-z'
'x,-y,z'
'x+1/2,y+1/2,z'
'-x+1/2,-y+1/2,-z'
'-x+1/2,y+1/2,-z'
'x+1/2,-y+1/2,z'
loop_
_atom_site_label
_atom_site_type_symbol
_atom_site_fract_x
_atom_site_fract_y
_atom_site_fract_z
_atom_site_occupancy
Sr1 Sr 0.0000 0.0000 0.0000 1
Sr2 Sr 0.0000 0.3342 0.0000 1
Ce1 Ce 0.0000 0.1667 0.5000 1
Pu1 Pu 0.0000 0.5000 0.5000 1
N1 N 0.2295 0.3385 0.7039 1
N2 N 0.2452 0.0000 0.7026 1
```

Starting from a GGA-PBE-relaxed structure, the powder diffraction line list of Hg4SbRh was simulated for a wavelength of 1.5418 Å.
No peak broadening, texture or thermal motion is included.

Main lines, by angle (2θ = 10–90°):
| 2θ (°) | Rel. int. | (hkl) |
| --- | --- | --- |
| 18.89 | 30 | 1 1 1 |
| 31.08 | 13 | 2 2 0 |
| 36.62 | 100 | 3 1 1 |
| 38.31 | 60 | 2 2 2 |
| 44.53 | 16 | 4 0 0 |
| 48.77 | 9 | 3 3 1 |
| 58.97 | 34 | 5 1 1 |
| 64.80 | 32 | 4 4 0 |
| 76.80 | 12 | 5 3 3 |
| 77.85 | 24 | 6 2 2 |

Atomic structure:
```
data_Hg4SbRh
_chemical_formula_sum 'Hg16 Sb4 Rh4'
_cell_length_a 8.1387
_cell_length_b 8.1387
_cell_length_c 8.1387
_cell_angle_alpha 90.00
_cell_angle_beta 90.00
_cell_angle_gamma 90.00
_space_group_name_H-M_alt 'F -4 3 m'
_space_group_IT_number 216
_space_group_name_Hall 'F -4 2 3'
loop_
_atom_site_label
_atom_site_type_symbol
_atom_site_fract_x
_atom_site_fract_y
_atom_site_fract_z
_atom_site_occupancy
Hg1 Hg 0.1245 0.1245 0.1245 1
Sb1 Sb 0.0000 0.0000 0.5000 1
Rh1 Rh 0.2500 0.2500 0.7500 1
```

Starting from a GGA-PBE-relaxed structure, the powder diffraction line list of PaSeBr3 was simulated for a wavelength of 1.5418 Å.
No peak broadening, texture or thermal motion is included.

Main lines, by angle (2θ = 10–90°):
| 2θ (°) | Rel. int. | (hkl) |
| --- | --- | --- |
| 11.35 | 65 | 0 1 0 |
| 11.97 | 100 | 1 0 0 |
| 13.00 | 71 | 0 1 1 |
| 16.52 | 30 | 1 1 0 |
| 18.37 | 26 | 1 1 1 |
| 27.97 | 35 | 2 1 -2 |
| 29.94 | 28 | 1 0 4 |
| 31.13 | 46 | 1 2 -3 |
| 34.76 | 23 | 2 2 1 |
| 36.71 | 43 | 3 0 -2 |

Atomic structure:
```
data_PaSeBr3
_chemical_formula_sum 'Pa4 Se4 Br12'
_cell_length_a 7.4863
_cell_length_b 7.7985
_cell_length_c 14.1394
_cell_angle_alpha 90.00
_cell_angle_beta 98.98
_cell_angle_gamma 90.00
_space_group_name_H-M_alt 'P 1 2/c 1'
_space_group_IT_number 13
loop_
_space_group_symop_operation_xyz
'x,y,z'
'-x,-y,-z'
'-x,y,-z+1/2'
'x,-y,z+1/2'
loop_
_atom_site_label
_atom_site_type_symbol
_atom_site_fract_x
_atom_site_fract_y
_atom_site_fract_z
_atom_site_occupancy
Pa1 Pa 0.0825 0.1266 0.1396 1
Se1 Se 0.1464 0.3840 0.2956 1
Br1 Br 0.1511 0.1902 0.5411 1
Br2 Br 0.2329 0.0660 0.8067 1
Br3 Br 0.3633 0.2795 0.0739 1
```

Starting from a GGA-PBE-relaxed structure, the powder diffraction line list of Na6Hg23Au was simulated for a wavelength of 1.5418 Å.
No peak broadening, texture or thermal motion is included.

Main lines, by angle (2θ = 10–90°):
| 2θ (°) | Rel. int. | (hkl) |
| --- | --- | --- |
| 21.13 | 20 | 2 2 2 |
| 24.45 | 10 | 4 0 0 |
| 34.85 | 100 | 4 4 0 |
| 41.11 | 12 | 6 2 2 |
| 50.11 | 17 | 8 0 0 |
| 54.97 | 5 | 6 6 2 |
| 62.48 | 34 | 8 4 4 |
| 73.58 | 10 | 8 8 0 |
| 77.56 | 4 | 10 6 2 |
| 84.07 | 14 | 12 4 0 |

Atomic structure:
```
data_Na6Hg23Au
_chemical_formula_sum 'Na24 Hg92 Au4'
_cell_length_a 14.5634
_cell_length_b 14.5634
_cell_length_c 14.5634
_cell_angle_alpha 90.00
_cell_angle_beta 90.00
_cell_angle_gamma 90.00
_space_group_name_H-M_alt 'F m -3 m'
_space_group_IT_number 225
_space_group_name_Hall '-F 4 2 3'
loop_
_atom_site_label
_atom_site_type_symbol
_atom_site_fract_x
_atom_site_fract_y
_atom_site_fract_z
_atom_site_occupancy
Na1 Na 0.0000 0.0000 0.2409 1
Hg1 Hg 0.0000 0.0000 0.0000 1
Hg2 Hg 0.0000 0.2500 0.2500 1
Hg3 Hg 0.1221 0.1221 0.3779 1
Hg4 Hg 0.1351 0.1351 0.1351 1
Au1 Au 0.0000 0.0000 0.5000 1
```

Starting from a GGA-PBE-relaxed structure, the powder diffraction line list of K3Pa3VTe8 was simulated for a wavelength of 1.5418 Å.
No peak broadening, texture or thermal motion is included.

Main lines, by angle (2θ = 10–90°):
| 2θ (°) | Rel. int. | (hkl) |
| --- | --- | --- |
| 10.25 | 78 | 0 0 1 |
| 24.07 | 11 | 4 0 -1 |
| 27.57 | 100 | 4 0 0 |
| 34.12 | 27 | 4 0 1 |
| 36.75 | 38 | 2 2 2 |
| 41.89 | 41 | 0 4 0 |
| 43.25 | 15 | 0 4 1 |
| 45.56 | 18 | 2 2 3 |
| 50.89 | 18 | 4 4 0 |
| 60.73 | 12 | 6 2 2 |

Atomic structure:
```
data_K3Pa3VTe8
_chemical_formula_sum 'K6 Pa6 V2 Te16'
_cell_length_a 14.9521
_cell_length_b 8.6186
_cell_length_c 9.9698
_cell_angle_alpha 90.00
_cell_angle_beta 120.05
_cell_angle_gamma 90.00
_space_group_name_H-M_alt 'C 1 2/m 1'
_space_group_IT_number 12
loop_
_space_group_symop_operation_xyz
'x,y,z'
'-x,-y,-z'
'-x,y,-z'
'x,-y,z'
'x+1/2,y+1/2,z'
'-x+1/2,-y+1/2,-z'
'-x+1/2,y+1/2,-z'
'x+1/2,-y+1/2,z'
loop_
_atom_site_label
_atom_site_type_symbol
_atom_site_fract_x
_atom_site_fract_y
_atom_site_fract_z
_atom_site_occupancy
K1 K 0.0000 0.0000 0.0000 1
K2 K 0.2500 0.2500 0.0000 1
Pa1 Pa 0.0000 0.5000 0.5000 1
Pa2 Pa 0.2500 0.2500 0.5000 1
V1 V 0.0000 0.0000 0.5000 1
Te1 Te 0.0119 0.2355 0.3002 1
Te2 Te 0.2236 0.0000 0.6997 1
Te3 Te 0.2389 0.5000 0.7167 1
```

Starting from a GGA-PBE-relaxed structure, the powder diffraction line list of Ac2BPdPt4 was simulated for a wavelength of 1.5418 Å.
No peak broadening, texture or thermal motion is included.

Main lines, by angle (2θ = 10–90°):
| 2θ (°) | Rel. int. | (hkl) |
| --- | --- | --- |
| 28.48 | 52 | 2 0 2 |
| 32.04 | 93 | 0 0 8 |
| 32.43 | 67 | 1 3 1 |
| 33.63 | 29 | 2 2 0 |
| 34.41 | 100 | 1 3 3 |
| 34.60 | 55 | 2 2 2 |
| 36.60 | 71 | 2 0 6 |
| 38.10 | 97 | 1 3 5 |
| 42.88 | 47 | 3 1 1 |
| 56.05 | 43 | 1 3 11 |

Atomic structure:
```
data_Ac2BPdPt4
_chemical_formula_sum 'Ac16 B8 Pd8 Pt32'
_cell_length_a 6.5293
_cell_length_b 9.2251
_cell_length_c 22.3506
_cell_angle_alpha 90.00
_cell_angle_beta 90.00
_cell_angle_gamma 90.00
_space_group_name_H-M_alt 'F d d d'
_space_group_IT_number 70
loop_
_space_group_symop_operation_xyz
'x,y,z'
'-x,-y,-z'
'-x+1/4,-y+1/4,z'
'x+1/4,y+1/4,-z'
'x,-y+1/4,-z+1/4'
'-x,y+1/4,z+1/4'
'-x+1/4,y,-z+1/4'
'x+1/4,-y,z+1/4'
'x,y+1/2,z+1/2'
'-x,-y+1/2,-z+1/2'
'-x+1/4,-y+3/4,z+1/2'
'x+1/4,y+3/4,-z+1/2'
'x,-y+3/4,-z+3/4'
'-x,y+3/4,z+3/4'
'-x+1/4,y+1/2,-z+3/4'
'x+1/4,-y+1/2,z+3/4'
'x+1/2,y,z+1/2'
'-x+1/2,-y,-z+1/2'
'-x+3/4,-y+1/4,z+1/2'
'x+3/4,y+1/4,-z+1/2'
'x+1/2,-y+1/4,-z+3/4'
'-x+1/2,y+1/4,z+3/4'
'-x+3/4,y,-z+3/4'
'x+3/4,-y,z+3/4'
'x+1/2,y+1/2,z'
'-x+1/2,-y+1/2,-z'
'-x+3/4,-y+3/4,z'
'x+3/4,y+3/4,-z'
'x+1/2,-y+3/4,-z+1/4'
'-x+1/2,y+3/4,z+1/4'
'-x+3/4,y+1/2,-z+1/4'
'x+3/4,-y+1/2,z+1/4'
loop_
_atom_site_label
_atom_site_type_symbol
_atom_site_fract_x
_atom_site_fract_y
_atom_site_fract_z
_atom_site_occupancy
Ac1 Ac 0.1250 0.1250 0.3125 1
B1 B 0.1250 0.1250 0.6250 1
Pd1 Pd 0.1250 0.1250 0.1250 1
Pt1 Pt 0.0482 0.2702 0.8079 1
```